# 1
The following is a simulated X-ray powder pattern of KLi4Np3O12. It was derived from a cell relaxed with PBE, using CuKα.
Neutral-atom scattering factors, no anomalous dispersion.

Structure:
abc: 7.1312 7.1312 7.1312
angles: 106.62 106.62 106.62
Fractional coordinates of all 20 atoms:
K  0.0000  0.0000  0.0000
Li  0.0631  0.5000  0.9369
Li  0.5000  0.5000  0.5000
Li  0.5000  0.9369  0.0631
Li  0.9369  0.0631  0.5000
Np  0.0000  0.5591  0.4409
Np  0.4409  0.0000  0.5591
Np  0.5591  0.4409  0.0000
O  0.0450  0.6321  0.7377
O  0.1081  0.8919  0.5000
O  0.2623  0.3679  0.9550
O  0.3334  0.6666  0.5000
O  0.3679  0.9550  0.2623
O  0.5000  0.1081  0.8919
O  0.5000  0.3334  0.6666
O  0.6321  0.7377  0.0450
O  0.6666  0.5000  0.3334
O  0.7377  0.0450  0.6321
O  0.8919  0.5000  0.1081
O  0.9550  0.2623  0.3679

Largest 8 diffraction maxima, in order of rising 2θ, 2θ from 5° to 70°:
two_theta  Rel. int.
14.15  20
15.50  94
21.04  100
26.24  35
28.51  54
34.48  35
39.68  51
56.54  27



# 2
The following is a simulated X-ray powder pattern of KLi3Np4S12. It was derived from a cell relaxed with PBE, using CuKα.
Neutral-atom scattering factors, no anomalous dispersion.

Structure:
abc: 8.5018 8.5018 8.5018
angles: 109.47 109.47 109.47
Fractional coordinates of all 20 atoms:
K  0.0000  0.0000  0.0000
Li  0.0000  0.5000  0.5000
Li  0.5000  0.0000  0.5000
Li  0.5000  0.5000  0.0000
Np  0.0000  0.0000  0.5000
Np  0.0000  0.5000  0.0000
Np  0.5000  0.0000  0.0000
Np  0.5000  0.5000  0.5000
S  0.1229  0.8184  0.3045
S  0.1816  0.3045  0.4861
S  0.1816  0.6955  0.8771
S  0.3045  0.1229  0.8184
S  0.3045  0.4861  0.1816
S  0.4861  0.1816  0.3045
S  0.5139  0.8184  0.6955
S  0.6955  0.5139  0.8184
S  0.6955  0.8771  0.1816
S  0.8184  0.3045  0.1229
S  0.8184  0.6955  0.5139
S  0.8771  0.1816  0.6955

Largest 8 diffraction maxima, in order of rising 2θ, 2θ from 5° to 70°:
two_theta  Rel. int.
18.07  100
25.67  74
31.57  18
36.62  26
41.12  56
45.25  50
56.22  21
59.56  17



# 3
The following is a simulated X-ray powder pattern of K2LiOs3O12. It was derived from a cell relaxed with PBE, using CuKα.
Neutral-atom scattering factors, no anomalous dispersion.

Structure:
abc: 7.3096 7.3096 7.3096
angles: 59.59 59.59 59.59
Fractional coordinates of all 18 atoms:
K  0.1143  0.1143  0.1143
K  0.8857  0.8857  0.8857
Li  0.5000  0.5000  0.5000
Os  0.0000  0.5000  0.5000
Os  0.5000  0.0000  0.5000
Os  0.5000  0.5000  0.0000
O  0.1777  0.5540  0.5540
O  0.1803  0.1803  0.5693
O  0.1803  0.5693  0.1803
O  0.4307  0.8197  0.8197
O  0.4460  0.4460  0.8223
O  0.4460  0.8223  0.4460
O  0.5540  0.1777  0.5540
O  0.5540  0.5540  0.1777
O  0.5693  0.1803  0.1803
O  0.8197  0.4307  0.8197
O  0.8197  0.8197  0.4307
O  0.8223  0.4460  0.4460

Largest 8 diffraction maxima, in order of rising 2θ, 2θ from 5° to 70°:
two_theta  Rel. int.
14.80  100
14.92  29
17.21  19
28.80  95
30.10  57
49.91  19
50.24  20
52.67  22



# 4
The following is a simulated X-ray powder pattern of KLiPO3. It was derived from a cell relaxed with PBE, using CuKα.
Neutral-atom scattering factors, no anomalous dispersion.

Structure:
abc: 5.7123 5.7123 6.4622
angles: 90.00 90.00 120.00
Fractional coordinates of all 12 atoms:
K  0.3333  0.6667  0.2500
K  0.6667  0.3333  0.7500
Li  0.0000  0.0000  0.0000
Li  0.0000  0.0000  0.5000
P  0.3333  0.6667  0.7500
P  0.6667  0.3333  0.2500
O  0.1772  0.3544  0.7500
O  0.1772  0.8228  0.7500
O  0.3544  0.1772  0.2500
O  0.6456  0.8228  0.7500
O  0.8228  0.1772  0.2500
O  0.8228  0.6456  0.2500

Largest 8 diffraction maxima, in order of rising 2θ, 2θ from 5° to 70°:
two_theta  Rel. int.
17.93  44
27.61  100
31.32  55
33.11  33
36.32  29
38.99  40
42.23  31
46.22  37



# 5
The following is a simulated X-ray powder pattern of KLiSbP2O8. It was derived from a cell relaxed with PBE, using CuKα.
Neutral-atom scattering factors, no anomalous dispersion.

Structure:
abc: 4.9904 8.8061 13.1685
angles: 71.78 79.56 89.15
Fractional coordinates of all 39 atoms:
K  0.0000  0.0000  0.0000
K  0.2984  0.9273  0.3709
K  0.6932  0.9313  0.6905
Li  0.5330  0.8398  0.9186
Li  0.7578  0.0900  0.4560
Li  0.8613  0.7973  0.2635
Sb  0.1504  0.4634  0.6841
Sb  0.4979  0.4169  0.0341
Sb  0.8157  0.4606  0.3406
P  0.0939  0.6622  0.8702
P  0.2161  0.2540  0.5080
P  0.3954  0.6828  0.1699
P  0.5933  0.2431  0.8343
P  0.7135  0.6815  0.5265
P  0.9372  0.1861  0.1928
O  0.0675  0.3143  0.6063
O  0.0776  0.0940  0.5221
O  0.0791  0.6368  0.2118
O  0.1592  0.5372  0.9760
O  0.1661  0.3819  0.3998
O  0.2190  0.2805  0.1578
O  0.2253  0.6079  0.7666
O  0.2261  0.8265  0.8480
O  0.4255  0.2608  0.9412
O  0.4288  0.5866  0.5557
O  0.4310  0.8224  0.0652
O  0.4375  0.3132  0.7376
O  0.5153  0.7186  0.2599
O  0.5248  0.2457  0.5045
O  0.5421  0.5305  0.1500
O  0.6514  0.0704  0.8460
O  0.6711  0.8589  0.5066
O  0.7696  0.2387  0.0992
O  0.7795  0.6657  0.8845
O  0.7974  0.2183  0.2991
O  0.8671  0.3467  0.8120
O  0.8686  0.6182  0.6246
O  0.8701  0.6540  0.4218
O  0.9791  0.0076  0.2161

Largest 8 diffraction maxima, in order of rising 2θ, 2θ from 5° to 70°:
two_theta  Rel. int.
10.59  78
20.95  26
24.71  54
25.20  100
35.22  25
35.73  12
35.90  14
36.00  14



# 6
The following is a simulated X-ray powder pattern of K2LiTa6P3O24. It was derived from a cell relaxed with PBE, using CuKα.
Neutral-atom scattering factors, no anomalous dispersion.

Structure:
abc: 8.4792 8.4816 8.4916
angles: 104.18 104.18 103.81
Fractional coordinates of all 36 atoms:
K  0.0000  0.0000  0.0000
K  0.4878  0.4857  0.5477
Li  0.4886  0.1723  0.8583
Ta  0.0547  0.6174  0.6173
Ta  0.2487  0.7460  0.3037
Ta  0.5474  0.5570  0.1094
Ta  0.7375  0.2355  0.2365
Ta  0.8682  0.4284  0.9204
Ta  0.9292  0.9366  0.4282
P  0.1722  0.3072  0.7655
P  0.3909  0.8596  0.9910
P  0.6190  0.0853  0.5417
O  0.0336  0.2943  0.8555
O  0.0476  0.5865  0.1126
O  0.0972  0.8931  0.3288
O  0.1254  0.1357  0.6209
O  0.1893  0.4539  0.6871
O  0.2106  0.6506  0.4758
O  0.2445  0.8156  0.8212
O  0.3116  0.8763  0.1371
O  0.3488  0.3360  0.8960
O  0.3903  0.6077  0.2349
O  0.4487  0.9400  0.4947
O  0.4776  0.7183  0.9771
O  0.5233  0.0347  0.0210
O  0.5826  0.3768  0.1957
O  0.6066  0.1755  0.4032
O  0.6453  0.2181  0.7160
O  0.6858  0.5127  0.9516
O  0.7388  0.7370  0.2699
O  0.7676  0.0095  0.5595
O  0.8201  0.2647  0.0523
O  0.8579  0.0743  0.2845
O  0.8996  0.4282  0.4164
O  0.9165  0.5462  0.7581
O  0.9588  0.7886  0.5773

Largest 8 diffraction maxima, in order of rising 2θ, 2θ from 5° to 70°:
two_theta  Rel. int.
11.35  42
13.24  58
18.50  40
25.36  42
26.66  100
28.71  17
32.65  19
37.10  28



# 7
The following is a simulated X-ray powder pattern of KLiZnP2O7. It was derived from a cell relaxed with PBE, using CuKα.
Neutral-atom scattering factors, no anomalous dispersion.

Structure:
abc: 12.5960 5.1615 10.4353
angles: 90.00 90.00 90.00
Fractional coordinates of all 48 atoms:
K  0.0000  0.0008  0.0000
K  0.0000  0.9992  0.5000
K  0.5000  0.4812  0.7353
K  0.5000  0.5188  0.2353
Li  0.2487  0.0344  0.7180
Li  0.2487  0.9656  0.2180
Li  0.7513  0.0344  0.7180
Li  0.7513  0.9656  0.2180
Zn  0.2508  0.4644  0.0152
Zn  0.2508  0.5356  0.5152
Zn  0.7492  0.4644  0.0152
Zn  0.7492  0.5356  0.5152
P  0.1176  0.4720  0.2667
P  0.1176  0.5280  0.7667
P  0.3823  0.0226  0.4625
P  0.3823  0.9774  0.9625
P  0.6177  0.0226  0.4625
P  0.6177  0.9774  0.9625
P  0.8824  0.4720  0.2667
P  0.8824  0.5280  0.7667
O  0.0000  0.4381  0.7173
O  0.0000  0.5619  0.2173
O  0.1269  0.1809  0.2577
O  0.1273  0.4188  0.9039
O  0.1273  0.5812  0.4039
O  0.1269  0.8191  0.7577
O  0.1923  0.3799  0.6744
O  0.1923  0.6201  0.1744
O  0.3069  0.1157  0.0578
O  0.3069  0.8843  0.5578
O  0.3725  0.0762  0.8268
O  0.3725  0.9238  0.3268
O  0.3743  0.3196  0.4759
O  0.3743  0.6804  0.9759
O  0.5000  0.0520  0.0179
O  0.5000  0.9480  0.5179
O  0.6257  0.3196  0.4759
O  0.6257  0.6804  0.9759
O  0.6275  0.0762  0.8268
O  0.6275  0.9238  0.3268
O  0.6931  0.1157  0.0578
O  0.6931  0.8843  0.5578
O  0.8077  0.3799  0.6744
O  0.8077  0.6201  0.1744
O  0.8731  0.1809  0.2577
O  0.8727  0.4188  0.9039
O  0.8727  0.5812  0.4039
O  0.8731  0.8191  0.7577

Largest 8 diffraction maxima, in order of rising 2θ, 2θ from 5° to 70°:
two_theta  Rel. int.
22.12  31
22.27  24
27.26  33
27.38  33
28.15  100
33.26  36
34.39  35
34.76  30



# 8
The following is a simulated X-ray powder pattern of KLi3Pa4O12. It was derived from a cell relaxed with PBE, using CuKα.
Neutral-atom scattering factors, no anomalous dispersion.

Structure:
abc: 7.1550 7.1550 7.1550
angles: 109.47 109.47 109.47
Fractional coordinates of all 20 atoms:
K  0.0000  0.0000  0.0000
Li  0.0000  0.5000  0.5000
Li  0.5000  0.0000  0.5000
Li  0.5000  0.5000  0.0000
Pa  0.0000  0.0000  0.5000
Pa  0.0000  0.5000  0.0000
Pa  0.5000  0.0000  0.0000
Pa  0.5000  0.5000  0.5000
O  0.1253  0.3061  0.8191
O  0.1809  0.4870  0.3061
O  0.1809  0.8747  0.6939
O  0.3061  0.1809  0.4870
O  0.3061  0.8191  0.1253
O  0.4870  0.3061  0.1809
O  0.5130  0.6939  0.8191
O  0.6939  0.1809  0.8747
O  0.6939  0.8191  0.5130
O  0.8191  0.1253  0.3061
O  0.8191  0.5130  0.6939
O  0.8747  0.6939  0.1809

Largest 8 diffraction maxima, in order of rising 2θ, 2θ from 5° to 70°:
two_theta  Rel. int.
21.51  100
30.61  89
37.72  24
43.83  22
49.33  48
54.40  44
63.72  13
68.09  20